(1)
Diffraction record for Tl6SnAu4. The X-ray diffraction stick pattern is simulated, not measured: it uses a structure optimized by DFT (GGA-PBE) and Cu Ka.
No peak broadening, texture or thermal motion is included.

The 12 most intense peaks (2θ = 10–90°), by intensity:
2θ/deg, d (Å), Rel. int., hkl
32.67, 2.741, 100, 2 0 2
35.74, 2.512, 90, 2 2 0
29.97, 2.981, 64, 2 1 1
33.40, 2.683, 35, 3 0 1
43.74, 2.069, 33, 2 0 3
27.27, 3.270, 24, 1 0 2
54.29, 1.690, 22, 5 0 1
52.67, 1.738, 19, 3 2 2
49.20, 1.852, 19, 4 0 2
49.91, 1.827, 18, 3 0 3
70.10, 1.342, 18, 2 0 5
24.03, 3.704, 16, 2 0 1

Cell and atoms:
a = 10.0479 Å, b = 10.0479 Å, c = 7.0576 Å
α = 90.00°, β = 90.00°, γ = 120.00°
Space group P6_3mc (No. 186)
Inequivalent atoms, fractional coordinates:
1 Tl 0.0566 0.5283 0.0000 (multiplicity 6)
2 Tl 0.1329 0.2659 0.3293 (multiplicity 6)
3 Sn 0.3333 0.6667 0.6151 (multiplicity 2)
4 Au 0.1821 0.3641 0.7379 (multiplicity 6)
5 Au 0.3333 0.6667 0.2361 (multiplicity 2)

(2)
Diffraction record for AcGa2PO8. The X-ray diffraction stick pattern is simulated, not measured: it uses a structure optimized by DFT (GGA-PBE) and Cu Ka.
No peak broadening, texture or thermal motion is included.

The 12 most intense peaks (2θ = 10–90°), by intensity:
2θ/deg, d (Å), Rel. int., hkl
27.60, 3.232, 100, 1 0 4
37.10, 2.423, 53, 1 1 0
21.62, 4.110, 44, 1 0 1
30.66, 2.916, 38, 0 1 5
46.86, 1.939, 26, 0 2 4
55.73, 1.649, 23, 1 1 9
39.51, 2.281, 21, 1 1 3
61.22, 1.514, 21, 3 -1 4
40.04, 2.252, 19, 0 0 9
46.10, 1.969, 17, 2 -1 6
41.64, 2.169, 17, 0 1 8
48.87, 1.864, 14, 2 0 5

Cell and atoms:
a = 4.8466 Å, b = 4.8466 Å, c = 20.2646 Å
α = 90.00°, β = 90.00°, γ = 120.00°
Space group R-3 (No. 148, hexagonal axes)
Inequivalent atoms, fractional coordinates:
1 Ac 0.0000 0.0000 0.0000 (multiplicity 3)
2 Ga 0.0000 0.0000 0.2245 (multiplicity 6)
3 P 0.0000 0.0000 0.5000 (multiplicity 3)
4 O 0.0000 0.0000 0.3180 (multiplicity 6)
5 O 0.0289 0.3971 0.2151 (multiplicity 18)

(3)
Diffraction record for Ac2LaSm9. The X-ray diffraction stick pattern is simulated, not measured: it uses a structure optimized by DFT (GGA-PBE) and Cu Ka.
No peak broadening, texture or thermal motion is included.

The 12 most intense peaks (2θ = 10–90°), by intensity:
2θ/deg, d (Å), Rel. int., hkl
29.59, 3.019, 100, 1 1 3
34.30, 2.615, 51, 2 0 0
58.54, 1.577, 44, 3 1 3
49.29, 1.849, 37, 2 2 0
79.97, 1.200, 18, 3 3 3
82.49, 1.169, 17, 4 2 0
61.42, 1.510, 13, 2 2 6
72.27, 1.307, 6, 4 0 0
16.96, 5.229, 1, 0 0 3
24.07, 3.698, 1, 1 1 0
38.50, 2.339, 1, 2 0 3
17.88, 4.961, 1, 1 0 1

Cell and atoms:
a = 5.230 Å, b = 5.230 Å, c = 15.683 Å
α = 90.00°, β = 90.00°, γ = 90.00°
Space group P4/mmm (No. 123)
Inequivalent atoms, fractional coordinates:
1 Ac 0.000 0.000 0.168 (multiplicity 2)
2 La 0.000 0.000 0.500 (multiplicity 1)
3 Sm 0.000 0.500 0.000 (multiplicity 2)
4 Sm 0.000 0.500 0.337 (multiplicity 4)
5 Sm 0.500 0.500 0.168 (multiplicity 2)
6 Sm 0.500 0.500 0.500 (multiplicity 1)

(4)
Diffraction record for Cr5S8. The X-ray diffraction stick pattern is simulated, not measured: it uses a structure optimized by DFT (GGA-PBE) and Cu Ka.
No peak broadening, texture or thermal motion is included.

The 12 most intense peaks (2θ = 10–90°), by intensity:
2θ/deg, d (Å), Rel. int., hkl
34.33, 2.612, 100, 2 2 -2
15.93, 5.563, 81, 2 0 -1
53.27, 1.720, 71, 0 2 3
44.87, 2.020, 52, 4 2 -3
33.76, 2.655, 48, 2 0 1
44.26, 2.046, 36, 4 2 -1
43.95, 2.060, 29, 4 0 0
30.00, 2.979, 28, 0 2 1
45.18, 2.007, 21, 4 0 -4
16.97, 5.224, 18, 1 1 -1
58.26, 1.584, 17, 6 2 -2
71.46, 1.320, 11, 4 4 0

Cell and atoms:
a = 11.130 Å, b = 6.879 Å, c = 8.047 Å
α = 90.00°, β = 132.24°, γ = 90.00°
Space group C2/m (No. 12)
Inequivalent atoms, fractional coordinates:
1 Cr 0.000 0.000 0.000 (multiplicity 2)
2 Cr 0.000 0.273 0.500 (multiplicity 4)
3 Cr 0.226 0.500 0.991 (multiplicity 4)
4 S 0.016 0.000 0.319 (multiplicity 4)
5 S 0.045 0.500 0.333 (multiplicity 4)
6 S 0.214 0.237 0.170 (multiplicity 8)

(5)
Diffraction record for USi2Ni10. The X-ray diffraction stick pattern is simulated, not measured: it uses a structure optimized by DFT (GGA-PBE) and Cu Ka.
No peak broadening, texture or thermal motion is included.

The 12 most intense peaks (2θ = 10–90°), by intensity:
2θ/deg, d (Å), Rel. int., hkl
38.39, 2.345, 100, 1 3 3
43.70, 2.071, 99, 2 2 2
44.21, 2.049, 94, 1 1 5
45.27, 2.003, 84, 1 5 1
45.08, 2.011, 82, 0 4 4
37.21, 2.417, 49, 2 0 0
30.75, 2.908, 45, 1 1 3
15.35, 5.774, 42, 0 0 2
21.45, 4.143, 40, 1 1 1
31.23, 2.864, 39, 1 3 1
35.61, 2.521, 38, 0 4 2
82.23, 1.172, 31, 2 6 6

Cell and atoms:
a = 4.833 Å, b = 11.212 Å, c = 11.547 Å
α = 90.00°, β = 90.00°, γ = 90.00°
Space group Fmmm (No. 69)
Inequivalent atoms, fractional coordinates:
1 U 0.000 0.000 0.000 (multiplicity 4)
2 Si 0.250 0.000 0.250 (multiplicity 8)
3 Ni 0.000 0.109 0.387 (multiplicity 16)
4 Ni 0.000 0.170 0.174 (multiplicity 16)
5 Ni 0.250 0.250 0.000 (multiplicity 8)

(6)
Diffraction record for Ce4TmTh5. The X-ray diffraction stick pattern is simulated, not measured: it uses a structure optimized by DFT (GGA-PBE) and Cu Ka.
No peak broadening, texture or thermal motion is included.

The 12 most intense peaks (2θ = 10–90°), by intensity:
2θ/deg, d (Å), Rel. int., hkl
31.46, 2.843, 100, 1 0 5
36.28, 2.476, 35, 1 1 0
62.28, 1.491, 29, 2 1 5
52.71, 1.736, 24, 1 1 10
36.90, 2.436, 16, 0 0 10
63.11, 1.473, 13, 1 0 15
52.25, 1.751, 12, 2 0 0
65.68, 1.422, 12, 2 0 10
86.30, 1.127, 12, 2 1 15
85.56, 1.135, 6, 3 0 5
88.25, 1.107, 6, 3 1 0
88.62, 1.104, 6, 2 2 10

Cell and atoms:
a = 3.502 Å, b = 3.502 Å, c = 24.359 Å
α = 90.00°, β = 90.00°, γ = 90.00°
Space group P4/mmm (No. 123)
Inequivalent atoms, fractional coordinates:
1 Ce 0.000 0.000 0.099 (multiplicity 2)
2 Ce 0.000 0.000 0.296 (multiplicity 2)
3 Tm 0.000 0.000 0.500 (multiplicity 1)
4 Th 0.500 0.500 0.000 (multiplicity 1)
5 Th 0.500 0.500 0.198 (multiplicity 2)
6 Th 0.500 0.500 0.396 (multiplicity 2)

(7)
Diffraction record for Ge2PbAuSe6. The X-ray diffraction stick pattern is simulated, not measured: it uses a structure optimized by DFT (GGA-PBE) and Cu Ka.
No peak broadening, texture or thermal motion is included.

The 12 most intense peaks (2θ = 10–90°), by intensity:
2θ/deg, d (Å), Rel. int., hkl
24.28, 3.666, 100, 1 3 -1
29.43, 3.035, 99, 3 3 -1
21.07, 4.216, 91, 2 2 -1
26.09, 3.415, 89, 2 2 1
46.79, 1.941, 75, 5 3 1
32.52, 2.754, 63, 4 0 -2
13.85, 6.395, 61, 2 0 0
30.50, 2.931, 58, 0 4 1
41.66, 2.168, 54, 2 2 -3
30.29, 2.950, 51, 4 2 -1
21.92, 4.054, 51, 3 1 0
34.37, 2.609, 42, 2 0 2

Cell and atoms:
a = 13.448 Å, b = 13.104 Å, c = 6.896 Å
α = 90.00°, β = 107.99°, γ = 90.00°
Space group C2/c (No. 15)
Inequivalent atoms, fractional coordinates:
1 Ge 0.204 0.064 0.219 (multiplicity 8)
2 Pb 0.000 0.381 0.250 (multiplicity 4)
3 Au 0.000 0.205 0.750 (multiplicity 4)
4 Se 0.111 0.429 0.698 (multiplicity 8)
5 Se 0.132 0.079 0.499 (multiplicity 8)
6 Se 0.145 0.229 0.064 (multiplicity 8)

(8)
Diffraction record for PaCu2HgS4. The X-ray diffraction stick pattern is simulated, not measured: it uses a structure optimized by DFT (GGA-PBE) and Cu Ka.
No peak broadening, texture or thermal motion is included.

The 12 most intense peaks (2θ = 10–90°), by intensity:
2θ/deg, d (Å), Rel. int., hkl
31.93, 2.803, 100, 1 1 2
38.56, 2.335, 51, 2 2 0
19.01, 4.670, 49, 1 1 0
50.35, 1.812, 28, 1 3 2
51.45, 1.776, 26, 3 1 2
26.53, 3.360, 26, 0 2 0
27.47, 3.247, 23, 2 0 0
37.07, 2.425, 21, 0 2 2
37.77, 2.382, 20, 2 0 2
69.68, 1.349, 14, 1 3 4
56.06, 1.640, 14, 1 1 4
65.63, 1.422, 13, 3 3 2

Cell and atoms:
a = 6.494 Å, b = 6.720 Å, c = 7.008 Å
α = 90.00°, β = 90.00°, γ = 90.00°
Space group I222 (No. 23)
Inequivalent atoms, fractional coordinates:
1 Pa 0.000 0.000 0.000 (multiplicity 2)
2 Cu 0.000 0.500 0.311 (multiplicity 4)
3 Hg 0.000 0.000 0.500 (multiplicity 2)
4 S 0.246 0.260 0.306 (multiplicity 8)

(9)
Diffraction record for La4TbPrSm2. The X-ray diffraction stick pattern is simulated, not measured: it uses a structure optimized by DFT (GGA-PBE) and Cu Ka.
No peak broadening, texture or thermal motion is included.

The 12 most intense peaks (2θ = 10–90°), by intensity:
2θ/deg, d (Å), Rel. int., hkl
29.69, 3.009, 100, 1 1 2
34.02, 2.636, 17, 0 2 0
34.25, 2.618, 17, 2 0 0
34.96, 2.567, 16, 0 0 4
58.23, 1.584, 15, 1 3 2
58.54, 1.577, 15, 3 1 2
59.47, 1.554, 14, 1 1 6
61.64, 1.505, 12, 2 2 4
49.05, 1.857, 12, 2 2 0
49.57, 1.839, 12, 0 2 4
49.75, 1.833, 12, 2 0 4
79.65, 1.204, 6, 3 3 2

Cell and atoms:
a = 5.236 Å, b = 5.271 Å, c = 10.267 Å
α = 90.00°, β = 90.05°, γ = 90.00°
Space group P2/m (No. 10)
Inequivalent atoms, fractional coordinates:
1 La 0.000 0.000 0.247 (multiplicity 2)
2 La 0.500 0.500 0.248 (multiplicity 2)
3 Tb 0.000 0.500 0.000 (multiplicity 1)
4 Pr 0.500 0.000 0.500 (multiplicity 1)
5 Sm 0.000 0.500 0.500 (multiplicity 1)
6 Sm 0.500 0.000 0.000 (multiplicity 1)

(10)
Diffraction record for Sb16Cl4O21. The X-ray diffraction stick pattern is simulated, not measured: it uses a structure optimized by DFT (GGA-PBE) and Cu Ka.
No peak broadening, texture or thermal motion is included.

The 12 most intense peaks (2θ = 10–90°), by intensity:
2θ/deg, d (Å), Rel. int., hkl
25.98, 3.430, 100, 2 1 2
28.23, 3.161, 91, 2 0 -2
27.53, 3.240, 87, 0 3 1
30.58, 2.923, 76, 0 2 -2
33.21, 2.698, 64, 2 3 0
17.04, 5.202, 48, 0 1 2
23.47, 3.790, 47, 2 0 -1
28.64, 3.117, 45, 0 3 2
22.00, 4.040, 31, 2 1 0
25.07, 3.552, 30, 2 1 -1
27.70, 3.221, 29, 2 2 2
52.38, 1.747, 28, 2 -4 1

Cell and atoms:
a = 8.400 Å, b = 9.925 Å, c = 10.694 Å
α = 69.70°, β = 85.36°, γ = 78.54°
Space group P1 (No. 1)
Inequivalent atoms, fractional coordinates:
1 Sb 0.000 0.000 0.000 (multiplicity 1)
2 Sb 0.002 0.681 0.620 (multiplicity 1)
3 Sb 0.069 0.619 0.045 (multiplicity 1)
4 Sb 0.075 0.294 0.680 (multiplicity 1)
5 Sb 0.246 0.177 0.178 (multiplicity 1)
6 Sb 0.313 0.797 0.384 (multiplicity 1)
7 Sb 0.319 0.476 0.308 (multiplicity 1)
8 Sb 0.402 0.102 0.498 (multiplicity 1)
9 Sb 0.443 0.008 0.976 (multiplicity 1)
10 Sb 0.516 0.683 0.620 (multiplicity 1)
11 Sb 0.566 0.629 0.047 (multiplicity 1)
12 Sb 0.625 0.297 0.696 (multiplicity 1)
13 Sb 0.671 0.197 0.179 (multiplicity 1)
14 Sb 0.781 0.834 0.347 (multiplicity 1)
15 Sb 0.821 0.483 0.308 (multiplicity 1)
16 Sb 0.828 0.114 0.507 (multiplicity 1)
17 Cl 0.280 0.909 0.825 (multiplicity 1)
18 Cl 0.286 0.367 0.848 (multiplicity 1)
19 Cl 0.777 0.930 0.835 (multiplicity 1)
20 Cl 0.786 0.382 0.858 (multiplicity 1)
21 O 0.029 0.791 0.109 (multiplicity 1)
22 O 0.036 0.501 0.567 (multiplicity 1)
23 O 0.082 0.477 0.238 (multiplicity 1)
24 O 0.219 0.027 0.079 (multiplicity 1)
25 O 0.220 0.248 0.534 (multiplicity 1)
26 O 0.240 0.710 0.576 (multiplicity 1)
27 O 0.255 0.019 0.360 (multiplicity 1)
28 O 0.324 0.572 0.107 (multiplicity 1)
29 O 0.396 0.259 0.307 (multiplicity 1)
30 O 0.483 0.104 0.131 (multiplicity 1)
31 O 0.514 0.808 0.101 (multiplicity 1)
32 O 0.566 0.497 0.571 (multiplicity 1)
33 O 0.577 0.500 0.243 (multiplicity 1)
34 O 0.592 0.199 0.541 (multiplicity 1)
35 O 0.680 0.039 0.366 (multiplicity 1)
36 O 0.742 0.738 0.547 (multiplicity 1)
37 O 0.823 0.580 0.107 (multiplicity 1)
38 O 0.849 0.266 0.326 (multiplicity 1)
39 O 0.852 0.039 0.150 (multiplicity 1)
40 O 0.855 0.264 0.603 (multiplicity 1)
41 O 0.996 0.817 0.422 (multiplicity 1)

(11)
Diffraction record for NdRhSe. The X-ray diffraction stick pattern is simulated, not measured: it uses a structure optimized by DFT (GGA-PBE) and Cu Ka.
No peak broadening, texture or thermal motion is included.

The 12 most intense peaks (2θ = 10–90°), by intensity:
2θ/deg, d (Å), Rel. int., hkl
33.33, 2.688, 100, 0 1 1
41.45, 2.179, 52, 1 1 0
64.82, 1.438, 27, 1 1 2
54.20, 1.692, 25, 2 0 1
70.45, 1.337, 22, 1 2 1
47.48, 1.915, 12, 0 0 2
75.60, 1.258, 9, 3 0 0
79.21, 1.209, 8, 0 1 3
23.58, 3.773, 7, 1 0 0
53.68, 1.708, 2, 1 0 2
23.23, 3.830, 1, 0 0 1
48.24, 1.887, 1, 2 0 0

Cell and atoms:
a = 4.3571 Å, b = 4.3571 Å, c = 3.8298 Å
α = 90.00°, β = 90.00°, γ = 120.00°
Space group P3m1 (No. 156)
Inequivalent atoms, fractional coordinates:
1 Nd 0.0000 0.0000 0.0000 (multiplicity 1)
2 Rh 0.3333 0.6667 0.4926 (multiplicity 1)
3 Se 0.6667 0.3333 0.5044 (multiplicity 1)